This entry pairs a crystal structure of Pm2Ge5Os3 with its calculated powder XRD pattern. Radiation: copper Kα. Structure: a DFT-relaxed cell (GGA-PBE, Alexandria).

Top 12 peaks for 2θ = 10–80°, low angle first:
d/Å	2theta	Rel. int.	index
3.843	23.14	36	1 3 0
2.771	32.31	27	1 1 2
2.649	33.84	42	2 4 0
2.635	34.02	100	3 2 1
2.550	35.19	53	2 0 2
2.347	38.35	18	1 3 2
2.267	39.77	25	4 1 1
2.149	42.04	81	0 4 2
1.693	54.18	25	3 6 1
1.640	56.07	24	3 2 3
1.482	62.71	23	0 0 4
1.453	64.06	18	6 0 2

Atomic structure:
```
data_Pm2Ge5Os3
_cell_length_a 10.008
_cell_length_b 12.487
_cell_length_c 5.928
_cell_angle_alpha 90.00
_cell_angle_beta 90.00
_cell_angle_gamma 90.00
_symmetry_space_group_name_H-M 'I b a m'
_symmetry_Int_Tables_number 72
_symmetry_space_group_name_Hall '-I 2 2c'
loop_
_atom_site_label
_atom_site_type_symbol
_atom_site_fract_x
_atom_site_fract_y
_atom_site_fract_z
Pm1 Pm 0.231 0.138 0.000
Ge1 Ge 0.000 0.000 0.250
Ge2 Ge 0.000 0.290 0.250
Ge3 Ge 0.172 0.411 0.000
Os1 Os 0.000 0.500 0.250
Os2 Os 0.096 0.147 0.500
```

---

This entry pairs a crystal structure of Rb2SbSBr3 with its calculated powder XRD pattern. Radiation: copper Kα. Structure: a DFT-relaxed cell (GGA-PBE, Alexandria).

Top 12 peaks for 2θ = 10–80°, low angle first:
d/Å	2theta	Rel. int.	index
8.796	10.06	52	0 0 2
5.002	17.73	31	1 0 1
3.858	23.05	100	1 1 0
2.932	30.49	47	0 0 6
2.917	30.65	41	1 0 5
2.900	30.83	51	1 1 4
2.865	31.22	65	0 2 0
2.609	34.37	50	2 0 0
2.049	44.20	33	0 2 6
2.044	44.32	30	1 2 5
1.929	47.11	40	2 2 0
1.611	57.16	30	2 2 6

Atomic structure:
```
data_Rb2SbSBr3
_cell_length_a 5.218
_cell_length_b 5.730
_cell_length_c 17.593
_cell_angle_alpha 90.00
_cell_angle_beta 90.00
_cell_angle_gamma 90.00
_symmetry_space_group_name_H-M 'I m m m'
_symmetry_Int_Tables_number 71
_symmetry_space_group_name_Hall '-I 2 2'
loop_
_atom_site_label
_atom_site_type_symbol
_atom_site_fract_x
_atom_site_fract_y
_atom_site_fract_z
Rb1 Rb 0.000 0.000 0.136
Sb1 Sb 0.000 0.000 0.500
S1 S 0.000 0.500 0.000
Br1 Br 0.000 0.000 0.335
Br2 Br 0.000 0.500 0.500
```